No. 1
Structure and computed powder diffractogram of Sc2Si7Ru12 (a GGA-PBE-relaxed structure; Cu Ka).
Kinematic intensities with the Lorentz-polarization factor, no thermal factor.

Largest 8 diffraction maxima, in order of rising 2θ, 10 to 90 degrees two-theta:
two_theta	I/Imax
10.7	17.9
18.6	15.4
29.6	13.4
36.9	100.0
45.9	33.9
46.5	23.8
48.0	19.9
50.7	14.0

Structural model:
Cell: 9.534 9.534 3.906 Å, 90.00 90.00 120.00°
Sites, in units of the cell vectors:
Sc: 0.000 0.000 0.000
Sc: 0.333 0.667 0.500
Si: 0.080 0.455 0.000
Si: 0.263 0.220 0.500
Si: 0.375 0.920 0.000
Si: 0.545 0.625 0.000
Si: 0.667 0.333 0.000
Si: 0.780 0.043 0.500
Si: 0.957 0.737 0.500
Ru: 0.051 0.286 0.500
Ru: 0.097 0.707 0.000
Ru: 0.234 0.949 0.500
Ru: 0.293 0.390 0.000
Ru: 0.388 0.176 0.000
Ru: 0.553 0.429 0.500
Ru: 0.571 0.124 0.500
Ru: 0.610 0.903 0.000
Ru: 0.714 0.766 0.500
Ru: 0.789 0.612 0.000
Ru: 0.824 0.211 0.000
Ru: 0.876 0.447 0.500

No. 2
Structure and computed powder diffractogram of SmScSi2Ru (a GGA-PBE-relaxed structure; Cu Ka).
Kinematic intensities with the Lorentz-polarization factor, no thermal factor.

Largest 8 diffraction maxima, in order of rising 2θ, 10 to 90 degrees two-theta:
two_theta	I/Imax
23.3	40.3
31.5	21.1
32.4	42.2
35.1	100.0
44.8	32.1
45.7	22.2
56.3	17.4
76.3	20.0

Structural model:
Cell: 4.047 4.047 11.378 Å, 90.00 90.00 90.00°
Sites, in units of the cell vectors:
Sm: 0.000 0.000 0.000
Sm: 0.500 0.500 0.500
Sc: 0.000 0.500 0.250
Sc: 0.500 0.000 0.750
Si: 0.000 0.000 0.395
Si: 0.000 0.000 0.605
Si: 0.500 0.500 0.105
Si: 0.500 0.500 0.895
Ru: 0.000 0.500 0.750
Ru: 0.500 0.000 0.250